The following is a computed powder diffractogram of NaV6O14. It was derived from a DFT-relaxed cell (GGA+U, Alexandria), using λ = 1.5418 Å (Cu Kα).

Structural model:
a b c (Å): 8.6411 8.6411 10.5245
angles (deg): 108.67 108.67 24.36
Element x y z (fractional)
Na: 0.0000 0.0000 0.0000
V: 0.1723 0.1723 0.5043
V: 0.3089 0.3089 0.8139
V: 0.3564 0.3564 0.4926
V: 0.6698 0.6698 0.2619
V: 0.7248 0.7248 0.9636
V: 0.8666 0.8666 0.2566
O: 0.1170 0.1170 0.6041
O: 0.1984 0.1984 0.3264
O: 0.2596 0.2596 0.9620
O: 0.2817 0.2817 0.6082
O: 0.3847 0.3847 0.3296
O: 0.4120 0.4120 0.8782
O: 0.4450 0.4450 0.6100
O: 0.5771 0.5771 0.1441
O: 0.6239 0.6239 0.9053
O: 0.6500 0.6500 0.4409
O: 0.7484 0.7484 0.1508
O: 0.7662 0.7662 0.8094
O: 0.8316 0.8316 0.4451
O: 0.9096 0.9096 0.1378

Main lines, in order of falling intensity (2θ = 10–90°):
| two_theta | d [Å] | I_rel |
| --- | --- | --- |
| 11.1 | 7.981 | 100 |
| 26.0 | 3.427 | 33 |
| 26.7 | 3.344 | 22 |
| 27.3 | 3.272 | 18 |
| 50.0 | 1.823 | 15 |
| 28.8 | 3.096 | 15 |
| 21.1 | 4.211 | 13 |
| 37.8 | 2.383 | 12 |